(1)
This entry pairs a crystal structure of V6FeMo2 with its calculated powder diffractogram. Radiation: copper Kα. Structure: a PBE-relaxed structure.
No peak broadening, texture or thermal motion is included.

Atomic structure:
```
data_V6FeMo2
_symmetry_space_group_name_H-M 'C 1 2/m 1'
_symmetry_Int_Tables_number 12
_cell_length_a 12.767
_cell_length_b 7.626
_cell_length_c 2.555
_cell_angle_alpha 90.00
_cell_angle_beta 93.12
_cell_angle_gamma 90.00
loop_
_symmetry_equiv_pos_as_xyz
'x,y,z'
'-x,-y,-z'
'-x,y,-z'
'x,-y,z'
'x+1/2,y+1/2,z'
'-x+1/2,-y+1/2,-z'
'-x+1/2,y+1/2,-z'
'x+1/2,-y+1/2,z'
loop_
_atom_site_label
_atom_site_fract_x
_atom_site_fract_y
_atom_site_fract_z
V1 0.000 0.180 0.000
V2 0.163 0.332 0.810
Fe1 0.000 0.500 0.500
Mo1 0.169 0.000 0.495
```

The 6 most intense peaks (2θ from 10° to 80°), sorted by position:
| d (Å) | intensity |
| --- | --- |
| 3.712 | 18 |
| 2.181 | 100 |
| 2.151 | 37 |
| 2.123 | 84 |
| 2.057 | 29 |
| 1.237 | 15 |

***

(2)
This entry pairs a crystal structure of SrThNbN3 with its calculated powder diffractogram. Radiation: copper Kα. Structure: a PBE-relaxed structure.
No peak broadening, texture or thermal motion is included.

Atomic structure:
```
data_SrThNbN3
_symmetry_space_group_name_H-M 'P 1 21/m 1'
_symmetry_Int_Tables_number 11
_cell_length_a 6.881
_cell_length_b 3.623
_cell_length_c 9.573
_cell_angle_alpha 90.00
_cell_angle_beta 97.52
_cell_angle_gamma 90.00
loop_
_symmetry_equiv_pos_as_xyz
'x,y,z'
'-x,-y,-z'
'-x,y+1/2,-z'
'x,-y+1/2,z'
loop_
_atom_site_label
_atom_site_fract_x
_atom_site_fract_y
_atom_site_fract_z
Sr1 0.208 0.250 0.235
Th1 0.193 0.250 0.613
Nb1 0.382 0.750 0.909
N1 0.148 0.750 0.768
N2 0.152 0.750 0.438
N3 0.489 0.750 0.142
```

The 6 most intense peaks (2θ from 10° to 80°), sorted by position:
| d (Å) | intensity |
| --- | --- |
| 5.918 | 100 |
| 3.200 | 37 |
| 2.977 | 45 |
| 2.879 | 72 |
| 2.736 | 45 |
| 2.484 | 35 |